1.
Structure and theoretical powder diffraction line list of Na8CrO6 (a DFT-relaxed cell (PBE+U, Alexandria); CuKα).
Intensities are scaled so that the largest is 100.

Top 12 peaks for 2θ from 15° to 90°, low angle first:
- 2θ = 16.03°, d 5.528, intensity 35, hkl 1 0 1
- 2θ = 18.43°, d 4.813, intensity 17, hkl 1 1 0
- 2θ = 29.35°, d 3.043, intensity 13, hkl 1 2 0
- 2θ = 30.85°, d 2.898, intensity 25, hkl 1 2 1
- 2θ = 31.24°, d 2.863, intensity 19, hkl 0 1 3
- 2θ = 32.39°, d 2.764, intensity 100, hkl 2 0 2
- 2θ = 37.36°, d 2.407, intensity 16, hkl 2 2 0
- 2θ = 38.93°, d 2.313, intensity 13, hkl 0 2 3
- 2θ = 40.35°, d 2.235, intensity 13, hkl 0 1 4
- 2θ = 40.89°, d 2.207, intensity 14, hkl 3 0 1
- 2θ = 46.74°, d 1.943, intensity 16, hkl 2 0 4
- 2θ = 54.37°, d 1.688, intensity 24, hkl 2 2 4

Atomic structure:
```
Na8CrO6
1.0
6.8121 0.0000 0.0000
0.0000 6.8024 0.0000
0.0000 0.0000 9.4674
Na Cr O
16 2 12
Direct
0.0000 0.1482 0.0000
0.0000 0.2050 0.4733
0.1837 0.6119 0.1289
0.1944 0.5995 0.8186
0.2478 0.9799 0.7517
0.2522 0.0201 0.2517
0.3056 0.4005 0.3186
0.3163 0.3881 0.6289
0.5000 0.7950 0.9733
0.5000 0.8518 0.5000
0.6837 0.3881 0.6289
0.6944 0.4005 0.3186
0.7478 0.0201 0.2517
0.7522 0.9799 0.7517
0.8056 0.5995 0.8186
0.8163 0.6119 0.1289
0.0000 0.7182 0.4796
0.5000 0.2818 0.9796
0.0000 0.2692 0.2367
0.0000 0.5009 0.5971
0.0000 0.7845 0.9669
0.0000 0.9291 0.5951
0.2169 0.7222 0.3678
0.2831 0.2778 0.8678
0.5000 0.0709 0.0951
0.5000 0.2155 0.4669
0.5000 0.4991 0.0971
0.5000 0.7308 0.7367
0.7169 0.2778 0.8678
0.7831 0.7222 0.3678
```

---

2.
Structure and theoretical powder diffraction line list of Na2In2Mo5O16 (a DFT-relaxed cell (PBE+U, Alexandria); CuKα).
Intensities are scaled so that the largest is 100.

Top 12 peaks for 2θ from 15° to 90°, low angle first:
- 2θ = 18.47°, d 4.803, intensity 29, hkl 0 1 1
- 2θ = 23.32°, d 3.814, intensity 100, hkl 0 1 2
- 2θ = 28.88°, d 3.091, intensity 41, hkl 1 1 0
- 2θ = 29.78°, d 3.000, intensity 69, hkl 1 0 3
- 2θ = 30.05°, d 2.973, intensity 21, hkl 1 1 1
- 2θ = 33.35°, d 2.687, intensity 28, hkl 1 1 2
- 2θ = 34.50°, d 2.600, intensity 55, hkl 2 0 1
- 2θ = 47.69°, d 1.907, intensity 39, hkl 2 0 4
- 2θ = 47.97°, d 1.897, intensity 25, hkl 1 2 2
- 2θ = 51.74°, d 1.767, intensity 31, hkl 2 1 3
- 2θ = 54.37°, d 1.687, intensity 31, hkl 0 2 5
- 2θ = 59.83°, d 1.546, intensity 32, hkl 2 2 0

Atomic structure:
```
Na2In2Mo5O16
1.0
6.1829 0.0000 0.0000
-3.0914 5.3545 0.0000
0.0000 0.0000 10.8672
Na In Mo O
2 2 5 16
Direct
0.0000 0.0000 0.0000
0.3333 0.6667 0.2293
0.3333 0.6667 0.5222
0.3333 0.6667 0.9270
0.0000 0.0000 0.3682
0.3344 0.1672 0.7258
0.6667 0.3333 0.0906
0.8328 0.1672 0.7258
0.8328 0.6656 0.7258
0.0000 0.0000 0.2066
0.0000 0.0000 0.6228
0.0025 0.5013 0.0531
0.1537 0.3074 0.8323
0.1537 0.8463 0.8323
0.1669 0.3338 0.4035
0.1669 0.8331 0.4035
0.4987 0.5013 0.0531
0.4987 0.9975 0.0531
0.5041 0.0082 0.6333
0.5041 0.4959 0.6333
0.6662 0.8331 0.4035
0.6667 0.3333 0.2494
0.6667 0.3333 0.8304
0.6926 0.8463 0.8323
0.9918 0.4959 0.6333
```

---

Question: What is the formula in the second record?
Answer: Na2In2Mo5O16

---

Repeat the first record exactly.
Structure and theoretical powder diffraction line list of Na8CrO6 (a DFT-relaxed cell (PBE+U, Alexandria); CuKα).
Intensities are scaled so that the largest is 100.

Top 12 peaks for 2θ from 15° to 90°, low angle first:
- 2θ = 16.03°, d 5.528, intensity 35, hkl 1 0 1
- 2θ = 18.43°, d 4.813, intensity 17, hkl 1 1 0
- 2θ = 29.35°, d 3.043, intensity 13, hkl 1 2 0
- 2θ = 30.85°, d 2.898, intensity 25, hkl 1 2 1
- 2θ = 31.24°, d 2.863, intensity 19, hkl 0 1 3
- 2θ = 32.39°, d 2.764, intensity 100, hkl 2 0 2
- 2θ = 37.36°, d 2.407, intensity 16, hkl 2 2 0
- 2θ = 38.93°, d 2.313, intensity 13, hkl 0 2 3
- 2θ = 40.35°, d 2.235, intensity 13, hkl 0 1 4
- 2θ = 40.89°, d 2.207, intensity 14, hkl 3 0 1
- 2θ = 46.74°, d 1.943, intensity 16, hkl 2 0 4
- 2θ = 54.37°, d 1.688, intensity 24, hkl 2 2 4

Atomic structure:
```
Na8CrO6
1.0
6.8121 0.0000 0.0000
0.0000 6.8024 0.0000
0.0000 0.0000 9.4674
Na Cr O
16 2 12
Direct
0.0000 0.1482 0.0000
0.0000 0.2050 0.4733
0.1837 0.6119 0.1289
0.1944 0.5995 0.8186
0.2478 0.9799 0.7517
0.2522 0.0201 0.2517
0.3056 0.4005 0.3186
0.3163 0.3881 0.6289
0.5000 0.7950 0.9733
0.5000 0.8518 0.5000
0.6837 0.3881 0.6289
0.6944 0.4005 0.3186
0.7478 0.0201 0.2517
0.7522 0.9799 0.7517
0.8056 0.5995 0.8186
0.8163 0.6119 0.1289
0.0000 0.7182 0.4796
0.5000 0.2818 0.9796
0.0000 0.2692 0.2367
0.0000 0.5009 0.5971
0.0000 0.7845 0.9669
0.0000 0.9291 0.5951
0.2169 0.7222 0.3678
0.2831 0.2778 0.8678
0.5000 0.0709 0.0951
0.5000 0.2155 0.4669
0.5000 0.4991 0.0971
0.5000 0.7308 0.7367
0.7169 0.2778 0.8678
0.7831 0.7222 0.3678
```